For Li2CrC3O9, a PBE+U-relaxed structure gives the theoretical powder diffraction line list in this record (CuKα).
Peak positions follow from Bragg's law for the DFT cell and can differ from measured ones.

Principal peaks in the range 10° ≤ 2θ ≤ 80°, in order of rising 2θ:
2θ/deg	d_spacing	I_rel
18.03	4.920	100
18.61	4.767	12
24.27	3.667	20
30.02	2.977	8
31.52	2.839	28
32.20	2.780	13
36.55	2.458	26
42.44	2.130	11
45.94	1.976	10
48.99	1.859	16

Crystal structure
Unit cell a=9.5337 b=6.0590 c=6.0590 alpha=108.71 beta=90.00 gamma=90.00
Fractional coordinates of all 30 atoms:
Li 0.0000 0.0000 0.0000
Li 0.2500 0.1888 0.8270
Li 0.5000 0.0000 0.0000
Li 0.7500 0.8270 0.1888
Cr 0.2500 0.7353 0.2169
Cr 0.7500 0.2169 0.7353
C 0.0210 0.0379 0.4953
C 0.2500 0.6339 0.7049
C 0.4790 0.0379 0.4953
C 0.5210 0.4953 0.0379
C 0.7500 0.7049 0.6339
C 0.9790 0.4953 0.0379
O 0.0692 0.0252 0.6867
O 0.0990 0.9843 0.3076
O 0.1072 0.4741 0.1042
O 0.2500 0.4184 0.6667
O 0.2500 0.7082 0.5264
O 0.2500 0.7936 0.9103
O 0.3928 0.4741 0.1042
O 0.4010 0.9843 0.3076
O 0.4308 0.0252 0.6867
O 0.5692 0.6867 0.0252
O 0.5990 0.3076 0.9843
O 0.6072 0.1042 0.4741
O 0.7500 0.5264 0.7082
O 0.7500 0.6667 0.4184
O 0.7500 0.9103 0.7936
O 0.8928 0.1042 0.4741
O 0.9010 0.3076 0.9843
O 0.9308 0.6867 0.0252